Entry 1:
Diffraction record for K2TlIBr4. The XRD peak list is computed, not measured: it uses a cell relaxed with PBE and CuKα.

The 10 most intense peaks (5 to 70 degrees two-theta), by angle:
d/Å, 2θ/deg, I/Imax
8.140, 10.87, 55
3.721, 23.92, 100
3.571, 24.94, 100
3.347, 26.63, 28
3.162, 28.22, 75
2.576, 34.82, 68
2.432, 36.97, 29
2.409, 37.32, 57
2.309, 39.01, 37
1.962, 46.28, 32

Cell and atoms:
abc: 12.6656 14.8834 9.3020
angles: 90.00 129.85 90.00
Space group C2/c (No. 15)
One atom of each set of equivalent atoms:
1 K 0.0000 0.0000 0.0000
2 K 0.2500 0.2500 0.0000
3 Tl 0.0000 0.5000 0.0000
4 I 0.2500 0.2500 0.5000
5 Br 0.0583 0.2405 0.5483
6 Br 0.2478 0.4641 0.9922

---

Entry 2:
Diffraction record for La3I2Br3. The XRD peak list is computed, not measured: it uses a cell relaxed with PBE and CuKα.

The 10 most intense peaks (5 to 70 degrees two-theta), by angle:
d/Å, 2θ/deg, I/Imax
7.121, 12.43, 70
5.647, 15.69, 38
4.010, 22.17, 28
3.906, 22.76, 38
3.224, 27.67, 43
3.152, 28.31, 32
3.076, 29.03, 100
2.889, 30.96, 26
2.811, 31.83, 23
2.224, 40.56, 23

Cell and atoms:
abc: 6.1527 7.7400 14.2949
angles: 88.40 89.73 66.78
Space group P1 (No. 1)
One atom of each set of equivalent atoms:
1 La 0.0000 0.0000 0.0000
2 La 0.0170 0.9552 0.3303
3 La 0.5986 0.7963 0.8374
4 La 0.6218 0.7395 0.4889
5 La 0.6599 0.6754 0.0917
6 La 0.9682 0.0483 0.5858
7 I 0.1722 0.6377 0.4965
8 I 0.1764 0.6409 0.1524
9 I 0.4517 0.0974 0.0022
10 I 0.7485 0.4712 0.6785
11 Br 0.0706 0.8521 0.7968
12 Br 0.4662 0.0519 0.6341
13 Br 0.5387 0.9128 0.2887
14 Br 0.7993 0.4194 0.9298
15 Br 0.8297 0.3243 0.4217
16 Br 0.8719 0.2511 0.1720